1.
The following is a calculated XRD peak list of Lu6Co30P19. It was derived from a cell relaxed with GGA-PBE, using copper Kα.
Lines closer than 0.1° are merged.

Crystal structure
```
data_Lu6Co30P19
_chemical_formula_sum 'Lu6 Co30 P19'
_space_group_name_H-M_alt 'P 1'
_space_group_IT_number 1
_cell_length_a 14.611
_cell_length_b 14.611
_cell_length_c 3.544
_cell_angle_alpha 90.00
_cell_angle_beta 90.00
_cell_angle_gamma 120.00
loop_
_space_group_symop_operation_xyz
'x,y,z'
loop_
_atom_site_label
_atom_site_type_symbol
_atom_site_fract_x
_atom_site_fract_y
_atom_site_fract_z
Lu1 Lu 0.038 0.765 0.000
Lu2 Lu 0.235 0.273 0.000
Lu3 Lu 0.431 0.059 0.500
Lu4 Lu 0.629 0.569 0.500
Lu5 Lu 0.727 0.962 0.000
Lu6 Lu 0.941 0.371 0.500
Co1 Co 0.063 0.623 0.500
Co2 Co 0.068 0.250 0.500
Co3 Co 0.108 0.392 0.000
Co4 Co 0.109 0.015 0.000
Co5 Co 0.175 0.536 0.500
Co6 Co 0.182 0.932 0.500
Co7 Co 0.221 0.691 0.000
Co8 Co 0.259 0.130 0.500
Co9 Co 0.284 0.892 0.000
Co10 Co 0.309 0.530 0.000
Co11 Co 0.361 0.825 0.500
Co12 Co 0.377 0.440 0.500
Co13 Co 0.407 0.201 0.000
Co14 Co 0.464 0.639 0.500
Co15 Co 0.470 0.779 0.000
Co16 Co 0.482 0.401 0.000
Co17 Co 0.558 0.319 0.500
Co18 Co 0.560 0.937 0.500
Co19 Co 0.599 0.080 0.000
Co20 Co 0.608 0.716 0.000
Co21 Co 0.681 0.239 0.500
Co22 Co 0.750 0.818 0.500
Co23 Co 0.761 0.442 0.500
Co24 Co 0.794 0.593 0.000
Co25 Co 0.799 0.206 0.000
Co26 Co 0.870 0.129 0.500
Co27 Co 0.871 0.741 0.500
Co28 Co 0.907 0.891 0.000
Co29 Co 0.920 0.518 0.000
Co30 Co 0.985 0.093 0.000
P1 P 0.016 0.898 0.500
P2 P 0.078 0.531 0.000
P3 P 0.102 0.118 0.500
P4 P 0.197 0.787 0.500
P5 P 0.213 0.410 0.500
P6 P 0.271 0.037 0.000
P7 P 0.333 0.667 0.500
P8 P 0.394 0.295 0.500
P9 P 0.453 0.922 0.000
P10 P 0.469 0.547 0.000
P11 P 0.566 0.213 0.000
P12 P 0.590 0.803 0.500
P13 P 0.647 0.434 0.000
P14 P 0.705 0.098 0.500
P15 P 0.766 0.729 0.000
P16 P 0.787 0.353 0.000
P17 P 0.882 0.984 0.500
P18 P 0.902 0.606 0.500
P19 P 0.963 0.234 0.000
```

Largest 10 diffraction maxima, low angle first, 10 to 90 degrees two-theta:
- 18.6 deg, I = 11
- 28.0 deg, I = 12
- 30.8 deg, I = 11
- 36.0 deg, I = 12
- 37.6 deg, I = 13
- 38.1 deg, I = 18
- 40.2 deg, I = 100
- 51.6 deg, I = 19
- 54.8 deg, I = 21
- 78.6 deg, I = 15

2.
The following is a calculated XRD peak list of K2TaAgCl6. It was derived from a cell relaxed with GGA-PBE, using copper Kα.
Lines closer than 0.1° are merged.

Crystal structure
```
data_K2TaAgCl6
_chemical_formula_sum 'K2 Ta1 Ag1 Cl6'
_space_group_name_H-M_alt 'P 1'
_space_group_IT_number 1
_cell_length_a 7.354
_cell_length_b 7.354
_cell_length_c 7.354
_cell_angle_alpha 60.00
_cell_angle_beta 60.00
_cell_angle_gamma 60.00
loop_
_space_group_symop_operation_xyz
'x,y,z'
loop_
_atom_site_label
_atom_site_type_symbol
_atom_site_fract_x
_atom_site_fract_y
_atom_site_fract_z
K1 K 0.250 0.250 0.250
K2 K 0.750 0.750 0.750
Ta1 Ta 0.000 0.000 0.000
Ag1 Ag 0.500 0.500 0.500
Cl1 Cl 0.238 0.238 0.762
Cl2 Cl 0.238 0.762 0.238
Cl3 Cl 0.238 0.762 0.762
Cl4 Cl 0.762 0.238 0.238
Cl5 Cl 0.762 0.238 0.762
Cl6 Cl 0.762 0.762 0.238
```

Largest 10 diffraction maxima, low angle first, 10 to 90 degrees two-theta:
- 17.1 deg, I = 100
- 24.2 deg, I = 99
- 34.5 deg, I = 75
- 38.7 deg, I = 50
- 42.6 deg, I = 44
- 49.6 deg, I = 49
- 52.8 deg, I = 25
- 55.9 deg, I = 20
- 67.4 deg, I = 23
- 83.1 deg, I = 20

3.
The following is a calculated XRD peak list of CsNdZnTe3. It was derived from a cell relaxed with GGA-PBE, using copper Kα.
Lines closer than 0.1° are merged.

Crystal structure
```
data_CsNdZnTe3
_chemical_formula_sum 'Cs2 Nd2 Zn2 Te6'
_space_group_name_H-M_alt 'P 1'
_space_group_IT_number 1
_cell_length_a 8.961
_cell_length_b 8.961
_cell_length_c 12.041
_cell_angle_alpha 90.00
_cell_angle_beta 90.00
_cell_angle_gamma 150.73
loop_
_space_group_symop_operation_xyz
'x,y,z'
loop_
_atom_site_label
_atom_site_type_symbol
_atom_site_fract_x
_atom_site_fract_y
_atom_site_fract_z
Cs1 Cs 0.246 0.754 0.750
Cs2 Cs 0.754 0.246 0.250
Nd1 Nd 0.500 0.500 0.000
Nd2 Nd 0.500 0.500 0.500
Zn1 Zn 0.035 0.965 0.250
Zn2 Zn 0.965 0.035 0.750
Te1 Te 0.121 0.879 0.065
Te2 Te 0.121 0.879 0.435
Te3 Te 0.439 0.561 0.250
Te4 Te 0.561 0.439 0.750
Te5 Te 0.879 0.121 0.565
Te6 Te 0.879 0.121 0.935
```

Largest 10 diffraction maxima, low angle first, 10 to 90 degrees two-theta:
- 10.2 deg, I = 53
- 24.4 deg, I = 39
- 25.0 deg, I = 41
- 26.1 deg, I = 100
- 29.1 deg, I = 36
- 29.7 deg, I = 28
- 35.9 deg, I = 44
- 39.8 deg, I = 32
- 45.5 deg, I = 34
- 47.6 deg, I = 30